Mg2Mo2O7: computed powder diffractogram (Cu Kα (weighted mean of Kα1 and Kα2)), based on a DFT-relaxed cell (GGA+U, Alexandria).
Lines closer than 0.1° are merged.

Main lines, sorted by position (10 to 80 degrees two-theta):
- 17.05 deg, I 87
- 23.27 deg, I 100
- 23.71 deg, I 33
- 24.08 deg, I 34
- 25.23 deg, I 28
- 27.33 deg, I 35
- 29.35 deg, I 57
- 33.22 deg, I 26
- 33.46 deg, I 30
- 34.05 deg, I 31

Structure:
```
data_Mg2Mo2O7
_chemical_formula_sum 'Mg8 Mo8 O28'
_space_group_name_H-M_alt 'C 1 2/c 1'
_space_group_IT_number 15
_cell_length_a 8.0700
_cell_length_b 7.5060
_cell_length_c 10.9800
_cell_angle_alpha 90.00
_cell_angle_beta 108.64
_cell_angle_gamma 90.00
loop_
_space_group_symop_operation_xyz
'x,y,z'
'-x,-y,-z'
'-x,y,-z+1/2'
'x,-y,z+1/2'
'x+1/2,y+1/2,z'
'-x+1/2,-y+1/2,-z'
'-x+1/2,y+1/2,-z+1/2'
'x+1/2,-y+1/2,z+1/2'
loop_
_atom_site_label
_atom_site_type_symbol
_atom_site_fract_x
_atom_site_fract_y
_atom_site_fract_z
Mg1 Mg 0.1532 0.0705 0.4637
Mo1 Mo 0.2388 0.2879 0.7704
O1 O 0.0000 0.3577 0.7500
O2 O 0.1061 0.1314 0.0760
O3 O 0.2159 0.0418 0.8199
O4 O 0.2170 0.2909 0.3769
```